Computed PXRD pattern
Compound: CsRb2WF8
Radiation: Cu Kα X-rays
Structure: a GGA+U-relaxed structure
Lines closer than 0.1° are merged.

Principal peaks in the range 2θ = 5–70°, in order of falling intensity:
two_theta	Rel. int.	hkl
24.17	100.0	0 2 1
21.45	65.6	1 0 -1
25.29	56.9	1 0 1
37.11	49.1	1 2 -2
27.30	48.6	1 2 0
41.89	26.0	1 2 2
13.93	25.9	0 0 1
43.42	22.0	2 2 -1
28.07	19.7	0 0 2
38.05	19.0	2 0 0

Cell and atoms:
a b c (Å): 4.798 9.034 6.448
angles (deg): 90.00 99.68 90.00
Space group P2/m (No. 10)
Asymmetric unit:
1 Cs 0.000 0.000 0.000 (multiplicity 1)
2 Rb 0.500 0.229 0.500 (multiplicity 2)
3 W 0.000 0.500 0.000 (multiplicity 1)
4 F 0.094 0.343 0.816 (multiplicity 4)
5 F 0.365 0.500 0.183 (multiplicity 2)
6 F 0.426 0.000 0.730 (multiplicity 2)